1.
Starting from a cell relaxed with GGA-PBE, the PXRD pattern of Pr4Ag2Sn was computed for CuKα.
Peak positions follow from Bragg's law for the DFT cell and can differ from measured ones.

Most intense lines, 2θ = 10–80°, sorted by position:
(0 4 1), 2θ = 27.58°, I = 28; (3 1 -1), 2θ = 30.14°, I = 94; (3 1 -2), 2θ = 30.35°, I = 100; (1 5 -1), 2θ = 31.34°, I = 71; (0 2 2), 2θ = 32.71°, I = 49; (2 4 0), 2θ = 33.58°, I = 51; (2 2 -3), 2θ = 38.33°, I = 33; (1 7 -1), 2θ = 42.63°, I = 19

Structural model:
Cell: 9.346 15.523 7.437 Å, 90.00 128.12 90.00°
Space group Cc (No. 9)
Unique sites:
Pr 0.000 0.027 0.000 (multiplicity 4)
Pr 0.217 0.336 0.663 (multiplicity 4)
Pr 0.417 0.248 0.307 (multiplicity 4)
Pr 0.423 0.045 0.603 (multiplicity 4)
Ag 0.107 0.181 0.341 (multiplicity 4)
Ag 0.196 0.425 0.014 (multiplicity 4)
Sn 0.228 0.138 0.828 (multiplicity 4)



2.
Starting from a cell relaxed with GGA-PBE, the PXRD pattern of Tm4InAg2Ir was computed for CuKα.
Peak positions follow from Bragg's law for the DFT cell and can differ from measured ones.

Most intense lines, 2θ = 10–80°, sorted by position:
(0 0 9), 2θ = 32.66°, I = 5; (1 1 0), 2θ = 35.61°, I = 100; (1 1 9), 2θ = 49.08°, I = 6; (2 0 8), 2θ = 51.25°, I = 16; (3 0 0), 2θ = 63.94°, I = 26; (1 0 16), 2θ = 64.05°, I = 5; (0 1 17), 2θ = 68.07°, I = 5; (2 2 0), 2θ = 75.35°, I = 6

Structural model:
Cell: 5.0454 5.0454 24.6675 Å, 90.00 90.00 120.00°
Space group R-3m (No. 166, hexagonal axes)
Unique sites:
Tm 0.0000 0.0000 0.1144 (multiplicity 6)
Tm 0.0000 0.0000 0.3673 (multiplicity 6)
In 0.0000 0.0000 0.5000 (multiplicity 3)
Ag 0.0000 0.0000 0.2407 (multiplicity 6)
Ir 0.0000 0.0000 0.0000 (multiplicity 3)



3.
Starting from a cell relaxed with GGA-PBE, the PXRD pattern of NbTl2Cr2Se6 was computed for CuKα.
Peak positions follow from Bragg's law for the DFT cell and can differ from measured ones.

Most intense lines, 2θ = 10–80°, sorted by position:
(1 1 0), 2θ = 16.50°, I = 26; (1 3 1), 2θ = 31.83°, I = 100; (2 0 -2), 2θ = 32.14°, I = 50; (0 0 3), 2θ = 33.78°, I = 17; (1 3 -2), 2θ = 34.03°, I = 19; (1 3 -3), 2θ = 41.69°, I = 33; (3 3 -1), 2θ = 49.75°, I = 49; (2 6 -2), 2θ = 60.47°, I = 16

Structural model:
Cell: 6.348 10.998 8.207 Å, 90.00 104.07 90.00°
Space group C2/m (No. 12)
Unique sites:
Nb 0.000 0.000 0.000 (multiplicity 2)
Tl 0.000 0.161 0.500 (multiplicity 4)
Cr 0.000 0.331 0.000 (multiplicity 4)
Se 0.212 0.500 0.185 (multiplicity 4)
Se 0.231 0.171 0.186 (multiplicity 8)



4.
Starting from a cell relaxed with GGA-PBE, the PXRD pattern of HoErBr6 was computed for CuKα.
Peak positions follow from Bragg's law for the DFT cell and can differ from measured ones.

Most intense lines, 2θ = 10–80°, sorted by position:
(0 1 2), 2θ = 17.28°, I = 100; (1 0 4), 2θ = 23.71°, I = 37; (2 -1 3), 2θ = 29.02°, I = 86; (0 2 4), 2θ = 34.97°, I = 20; (2 -1 6), 2θ = 38.18°, I = 74; (3 -2 2), 2θ = 40.31°, I = 20; (3 0 0), 2θ = 44.64°, I = 48; (3 0 12), 2θ = 76.09°, I = 20

Structural model:
Cell: 7.0323 7.0323 19.0612 Å, 90.00 90.00 120.00°
Space group R-3 (No. 148, hexagonal axes)
Unique sites:
Ho 0.0000 0.0000 0.0000 (multiplicity 3)
Er 0.0000 0.0000 0.5000 (multiplicity 3)
Br 0.0009 0.3456 0.2498 (multiplicity 18)



5.
Starting from a cell relaxed with GGA-PBE, the PXRD pattern of Ag7Pt5 was computed for CuKα.
Peak positions follow from Bragg's law for the DFT cell and can differ from measured ones.

Most intense lines, 2θ = 10–80°, sorted by position:
(0 0 1), 2θ = 10.26°, I = 6; (1 2 0), 2θ = 38.35°, I = 100; (2 0 0), 2θ = 44.48°, I = 16; (0 2 3), 2θ = 44.62°, I = 32; (2 2 3), 2θ = 64.85°, I = 26; (0 4 0), 2θ = 65.00°, I = 5; (3 2 0), 2θ = 77.81°, I = 12; (1 4 3), 2θ = 78.01°, I = 24

Structural model:
Cell: 4.073 5.740 8.620 Å, 90.00 90.00 90.00°
Space group Pmmm (No. 47)
Unique sites:
Ag 0.000 0.000 0.000 (multiplicity 1)
Ag 0.000 0.500 0.336 (multiplicity 2)
Ag 0.500 0.250 0.168 (multiplicity 4)
Pt 0.000 0.000 0.342 (multiplicity 2)
Pt 0.000 0.500 0.000 (multiplicity 1)
Pt 0.500 0.239 0.500 (multiplicity 2)



6.
Starting from a cell relaxed with GGA-PBE, the PXRD pattern of Cs3Ba2OsO6 was computed for CuKα.
Peak positions follow from Bragg's law for the DFT cell and can differ from measured ones.

Most intense lines, 2θ = 10–80°, sorted by position:
(0 0 2), 2θ = 26.42°, I = 64; (2 0 0), 2θ = 28.58°, I = 50; (1 3 -1), 2θ = 28.68°, I = 98; (1 3 1), 2θ = 32.47°, I = 100; (2 0 -2), 2θ = 32.75°, I = 49; (1 3 -3), 2θ = 45.41°, I = 35; (3 3 -1), 2θ = 48.12°, I = 47; (1 3 3), 2θ = 53.05°, I = 21

Structural model:
Cell: 6.546 11.355 7.069 Å, 90.00 107.37 90.00°
Space group C2/m (No. 12)
Unique sites:
Cs 0.000 0.000 0.000 (multiplicity 2)
Cs 0.000 0.337 0.000 (multiplicity 4)
Ba 0.000 0.167 0.500 (multiplicity 4)
Os 0.000 0.500 0.500 (multiplicity 2)
O 0.186 0.371 0.669 (multiplicity 8)
O 0.202 0.500 0.324 (multiplicity 4)



7.
Starting from a cell relaxed with GGA-PBE, the PXRD pattern of NbSb2PbO8 was computed for CuKα.
Peak positions follow from Bragg's law for the DFT cell and can differ from measured ones.

Most intense lines, 2θ = 10–80°, sorted by position:
(0 2 0), 2θ = 24.76°, I = 63; (2 0 0), 2θ = 25.82°, I = 54; (1 1 2), 2θ = 32.00°, I = 100; (2 2 0), 2θ = 36.08°, I = 29; (1 3 2), 2θ = 48.38°, I = 43; (3 1 2), 2θ = 49.59°, I = 37; (3 3 2), 2θ = 62.32°, I = 23; (2 2 4), 2θ = 66.91°, I = 11

Structural model:
Cell: 6.900 7.192 6.761 Å, 90.00 90.00 90.00°
Space group Cmmm (No. 65)
Unique sites:
Nb 0.000 0.000 0.000 (multiplicity 2)
Sb 0.000 0.500 0.246 (multiplicity 4)
Pb 0.000 0.000 0.500 (multiplicity 2)
O 0.000 0.303 0.000 (multiplicity 4)
O 0.000 0.331 0.500 (multiplicity 4)
O 0.203 0.000 0.209 (multiplicity 8)



8.
Starting from a cell relaxed with GGA-PBE, the PXRD pattern of CaAg2F6 was computed for CuKα.
Peak positions follow from Bragg's law for the DFT cell and can differ from measured ones.

Most intense lines, 2θ = 10–80°, sorted by position:
(0 0 1), 2θ = 14.09°, I = 78; (1 1 0), 2θ = 23.25°, I = 64; (2 0 -2), 2θ = 24.00°, I = 93; (1 1 -1), 2θ = 24.57°, I = 100; (2 0 1), 2θ = 28.47°, I = 74; (3 1 -1), 2θ = 31.50°, I = 72; (4 0 -2), 2θ = 31.89°, I = 62; (0 2 0), 2θ = 43.58°, I = 46

Structural model:
Cell: 11.678 4.153 7.468 Å, 90.00 122.70 90.00°
Space group C2/m (No. 12)
Unique sites:
Ca 0.000 0.000 0.000 (multiplicity 2)
Ag 0.184 0.000 0.626 (multiplicity 4)
F 0.012 0.000 0.310 (multiplicity 4)
F 0.129 0.500 0.081 (multiplicity 4)
F 0.203 0.500 0.638 (multiplicity 4)



9.
Starting from a cell relaxed with GGA-PBE, the PXRD pattern of La4TcAgCl2 was computed for CuKα.
Peak positions follow from Bragg's law for the DFT cell and can differ from measured ones.

Most intense lines, 2θ = 10–80°, sorted by position:
(0 0 1), 2θ = 11.53°, I = 28; (1 1 1), 2θ = 28.81°, I = 100; (2 0 2), 2θ = 39.59°, I = 12; (1 1 -3), 2θ = 39.86°, I = 22; (3 1 -1), 2θ = 42.53°, I = 21; (0 2 0), 2θ = 42.68°, I = 13; (1 1 -4), 2θ = 50.25°, I = 8; (2 2 -2), 2θ = 52.34°, I = 11

Structural model:
Cell: 7.372 4.237 8.041 Å, 90.00 107.37 90.00°
Space group P2/m (No. 10)
Unique sites:
La 0.221 0.000 0.216 (multiplicity 2)
La 0.229 0.500 0.786 (multiplicity 2)
Tc 0.000 0.500 0.000 (multiplicity 1)
Ag 0.500 0.000 0.000 (multiplicity 1)
Cl 0.000 0.000 0.500 (multiplicity 1)
Cl 0.500 0.500 0.500 (multiplicity 1)



10.
Starting from a cell relaxed with GGA-PBE, the PXRD pattern of Ce2SmHo3Bi6 was computed for CuKα.
Peak positions follow from Bragg's law for the DFT cell and can differ from measured ones.

Most intense lines, 2θ = 10–80°, sorted by position:
(6 0 0), 2θ = 27.88°, I = 100; (5 1 2), 2θ = 39.80°, I = 39; (7 1 -2), 2θ = 39.89°, I = 39; (6 2 0), 2θ = 49.29°, I = 21; (12 0 0), 2θ = 57.61°, I = 13; (11 1 2), 2θ = 65.13°, I = 19; (13 1 -2), 2θ = 65.26°, I = 18; (10 0 4), 2θ = 72.30°, I = 16

Structural model:
Cell: 19.699 4.532 9.042 Å, 90.00 103.10 90.00°
Space group C2/m (No. 12)
Unique sites:
Ce 0.166 0.000 0.332 (multiplicity 4)
Sm 0.000 0.500 0.000 (multiplicity 2)
Ho 0.000 0.500 0.500 (multiplicity 2)
Ho 0.166 0.000 0.834 (multiplicity 4)
Bi 0.002 0.000 0.746 (multiplicity 4)
Bi 0.165 0.500 0.588 (multiplicity 4)
Bi 0.168 0.500 0.079 (multiplicity 4)



11.
Starting from a cell relaxed with GGA-PBE, the PXRD pattern of HgBr was computed for CuKα.
Peak positions follow from Bragg's law for the DFT cell and can differ from measured ones.

Most intense lines, 2θ = 10–80°, sorted by position:
(1 0 1), 2θ = 19.83°, I = 49; (1 1 0), 2θ = 25.86°, I = 100; (0 0 4), 2θ = 31.49°, I = 24; (2 0 0), 2θ = 36.90°, I = 40; (1 1 4), 2θ = 41.19°, I = 47; (1 0 5), 2θ = 43.96°, I = 23; (2 0 4), 2θ = 49.28°, I = 28; (3 1 4), 2θ = 69.40°, I = 20

Structural model:
Cell: 4.872 4.872 11.363 Å, 90.00 90.00 90.00°
Space group I4/mmm (No. 139)
Unique sites:
Hg 0.000 0.000 0.116 (multiplicity 4)
Br 0.000 0.000 0.343 (multiplicity 4)



12.
Starting from a cell relaxed with GGA-PBE, the PXRD pattern of Sm4ThSe5 was computed for CuKα.
Peak positions follow from Bragg's law for the DFT cell and can differ from measured ones.

Most intense lines, 2θ = 10–80°, sorted by position:
(1 0 5), 2θ = 26.10°, I = 23; (1 1 0), 2θ = 30.23°, I = 100; (2 0 0), 2θ = 43.28°, I = 75; (2 1 5), 2θ = 51.24°, I = 11; (2 0 10), 2θ = 53.70°, I = 27; (2 2 0), 2θ = 62.87°, I = 12; (3 1 0), 2θ = 71.33°, I = 34; (3 1 10), 2θ = 79.39°, I = 25

Structural model:
Cell: 4.181 4.181 29.563 Å, 90.00 90.00 90.00°
Space group I4/mmm (No. 139)
Unique sites:
Sm 0.000 0.000 0.100 (multiplicity 4)
Sm 0.000 0.000 0.301 (multiplicity 4)
Th 0.000 0.000 0.500 (multiplicity 2)
Se 0.000 0.000 0.000 (multiplicity 2)
Se 0.000 0.000 0.201 (multiplicity 4)
Se 0.000 0.000 0.400 (multiplicity 4)